This entry pairs a crystal structure of U5ClO12 with its computed powder diffractogram. Radiation: Cu Kα, 1.54184 Å. Structure: DFT lattice parameters and positions (PBE).
Peak positions follow from Bragg's law for the DFT cell and can differ from measured ones.

Atomic structure:
a = 19.8262 Å, b = 4.1654 Å, c = 7.1540 Å
α = 90.00°, β = 90.00°, γ = 90.00°
Space group Pmma (No. 51)
Unique sites:
U1 0.0705 0.0000 0.1679
U2 0.1464 0.0000 0.7133
U3 0.2500 0.0000 0.2610
Cl1 0.0000 0.0000 0.5000
O1 0.0488 0.0000 0.8748
O2 0.0696 0.5000 0.1748
O3 0.1454 0.0000 0.3957
O4 0.1450 0.5000 0.7126
O5 0.1714 0.0000 0.0258
O6 0.2500 0.0000 0.6265
O7 0.2500 0.5000 0.2675

Most intense lines, 2θ from 15° to 90°, by intensity:
Position (°2θ)	I/Imax	(hkl)
21.33	100	0 1 0
25.69	87	5 0 1
33.63	64	5 1 1
24.89	35	0 0 2
51.16	28	5 2 1
33.01	24	0 1 2
43.45	20	0 2 0
44.34	15	5 0 3
28.37	15	3 0 2
52.76	13	10 0 2

---

This entry pairs a crystal structure of Nd4Al with its computed powder diffractogram. Radiation: Cu Kα, 1.54184 Å. Structure: DFT lattice parameters and positions (PBE).
Peak positions follow from Bragg's law for the DFT cell and can differ from measured ones.

Atomic structure:
a = 11.4447 Å, b = 11.4447 Å, c = 11.4447 Å
α = 90.00°, β = 90.00°, γ = 90.00°
Space group Fd-3m (No. 227, origin choice 2)
Unique sites:
Nd1 0.0186 0.0186 0.2314
Al1 0.1250 0.1250 0.6250

Most intense lines, 2θ from 15° to 90°, by intensity:
Position (°2θ)	I/Imax	(hkl)
26.99	100	2 2 2
31.26	43	4 0 0
44.80	32	4 4 0
53.08	29	6 2 2
40.98	26	3 3 3
34.15	17	3 3 1
57.51	14	5 5 1
88.34	14	7 7 3
62.32	12	7 3 1
66.92	10	7 3 3

---

This entry pairs a crystal structure of LiOsO3 with its computed powder diffractogram. Radiation: Cu Kα, 1.54184 Å. Structure: DFT lattice parameters and positions (PBE).
Peak positions follow from Bragg's law for the DFT cell and can differ from measured ones.

Atomic structure:
a = 5.1704 Å, b = 5.1704 Å, c = 13.1234 Å
α = 90.00°, β = 90.00°, γ = 120.00°
Space group R-3c (No. 167, hexagonal axes)
Unique sites:
Li1 0.0000 0.0000 0.2500
Os1 0.0000 0.0000 0.0000
O1 0.0000 0.3736 0.2500

Most intense lines, 2θ from 15° to 90°, by intensity:
Position (°2θ)	I/Imax	(hkl)
24.06	100	0 1 2
33.87	40	1 0 4
34.70	31	1 1 0
54.99	24	1 1 6
56.12	19	1 2 2
49.27	18	0 2 4
42.67	17	2 0 2
61.67	16	2 1 4
62.20	10	3 0 0
78.36	8	3 1 2

---

This entry pairs a crystal structure of CsNd2CuSe4 with its computed powder diffractogram. Radiation: Cu Kα, 1.54184 Å. Structure: DFT lattice parameters and positions (PBE).
Peak positions follow from Bragg's law for the DFT cell and can differ from measured ones.

Atomic structure:
a = 4.2702 Å, b = 14.9763 Å, c = 14.7715 Å
α = 90.00°, β = 90.00°, γ = 90.00°
Space group Cmcm (No. 63)
Unique sites:
Cs1 0.0000 0.1061 0.2500
Nd1 0.0000 0.3655 0.0616
Cu1 0.0000 0.1644 0.7500
Se1 0.0000 0.0000 0.0000
Se2 0.0000 0.2597 0.6110
Se3 0.0000 0.4228 0.2500

Most intense lines, 2θ from 15° to 90°, by intensity:
Position (°2θ)	I/Imax	(hkl)
28.16	100	1 3 1
30.08	99	1 3 2
41.12	58	1 5 3
21.60	47	0 2 3
42.33	42	2 0 0
37.50	36	1 1 5
32.59	32	0 2 5
26.92	32	0 2 4
40.52	24	0 6 3
41.33	24	1 3 5

---

This entry pairs a crystal structure of La3SiAgSe7 with its computed powder diffractogram. Radiation: Cu Kα, 1.54184 Å. Structure: DFT lattice parameters and positions (PBE).
Peak positions follow from Bragg's law for the DFT cell and can differ from measured ones.

Atomic structure:
a = 10.9162 Å, b = 10.9162 Å, c = 6.1258 Å
α = 90.00°, β = 90.00°, γ = 120.00°
Space group P6_3 (No. 173)
Unique sites:
La1 0.1247 0.3572 0.0000
Si1 0.3333 0.6667 0.5898
Ag1 0.0000 0.0000 0.4536
Se1 0.0925 0.2678 0.4860
Se2 0.1113 0.5881 0.7372
Se3 0.3333 0.6667 0.2187

Most intense lines, 2θ from 15° to 90°, by intensity:
Position (°2θ)	I/Imax	(hkl)
34.20	100	1 3 0
30.68	73	1 0 2
38.72	71	1 2 2
32.82	64	2 2 0
28.93	60	1 2 1
31.94	48	3 0 1
37.30	40	3 1 1
45.54	34	1 3 2
51.60	33	2 3 2
62.53	30	5 1 2

---

This entry pairs a crystal structure of ReN2 with its computed powder diffractogram. Radiation: Cu Kα, 1.54184 Å. Structure: DFT lattice parameters and positions (PBE).
Peak positions follow from Bragg's law for the DFT cell and can differ from measured ones.

Atomic structure:
a = 4.2416 Å, b = 2.9572 Å, c = 4.9941 Å
α = 90.00°, β = 114.16°, γ = 90.00°
Space group P2/c (No. 13)
Unique sites:
Re1 0.0000 0.1900 0.2500
N1 0.3233 0.3018 0.6917

Most intense lines, 2θ from 15° to 90°, by intensity:
Position (°2θ)	I/Imax	(hkl)
22.98	100	1 0 0
38.50	66	1 1 -1
36.21	47	0 1 1
39.55	35	0 0 2
47.75	30	1 1 1
36.68	27	1 0 -2
53.15	23	2 1 -1
47.60	18	2 0 -2
46.95	15	2 0 0
64.21	15	1 1 -3